Structure and simulated powder XRD pattern of LaAl3Ir (DFT lattice parameters and positions (PBE); Cu Kα (weighted mean of Kα1 and Kα2)).
No peak broadening, texture or thermal motion is included.

The 12 most intense peaks (2θ = 10–80°), most intense first:
hkl 1 0 3, 2θ = 32.18°, rel. 100
hkl 1 1 0, 2θ = 29.21°, rel. 61
hkl 1 1 2, 2θ = 33.62°, rel. 57
hkl 2 1 3, 2θ = 53.70°, rel. 48
hkl 2 0 0, 2θ = 41.79°, rel. 43
hkl 0 0 2, 2θ = 16.27°, rel. 43
hkl 1 0 1, 2θ = 22.12°, rel. 42
hkl 1 0 5, 2θ = 46.67°, rel. 36
hkl 2 1 5, 2θ = 64.42°, rel. 28
hkl 1 1 6, 2θ = 59.16°, rel. 15
hkl 2 2 0, 2θ = 60.58°, rel. 14
hkl 2 0 2, 2θ = 45.12°, rel. 14

Crystal structure
a = 4.3231 Å, b = 4.3231 Å, c = 10.8991 Å
α = 90.00°, β = 90.00°, γ = 90.00°
Space group I4mm (No. 107)
Inequivalent atoms, fractional coordinates:
La 0.0000 0.0000 0.0000 x2
Al 0.0000 0.0000 0.4071 x2
Al 0.0000 0.5000 0.2501 x4
Ir 0.0000 0.0000 0.6332 x2

Structure and simulated powder XRD pattern of LaAl5IrPt (DFT lattice parameters and positions (PBE); Cu Kα (weighted mean of Kα1 and Kα2)).
No peak broadening, texture or thermal motion is included.

The 12 most intense peaks (2θ = 10–80°), most intense first:
hkl 1 1 2, 2θ = 30.65°, rel. 100
hkl 2 0 0, 2θ = 43.91°, rel. 47
hkl 0 2 0, 2θ = 24.33°, rel. 43
hkl 1 3 2, 2θ = 46.95°, rel. 39
hkl 0 0 2, 2θ = 17.79°, rel. 27
hkl 1 1 0, 2θ = 24.76°, rel. 20
hkl 2 2 4, 2θ = 63.82°, rel. 19
hkl 1 2 1, 2θ = 33.95°, rel. 19
hkl 2 2 0, 2θ = 50.79°, rel. 16
hkl 1 1 6, 2θ = 61.45°, rel. 16
hkl 0 0 4, 2θ = 36.02°, rel. 15
hkl 1 1 4, 2θ = 44.20°, rel. 14

Crystal structure
a = 4.1293 Å, b = 7.3165 Å, c = 9.9735 Å
α = 90.00°, β = 90.00°, γ = 90.00°
Space group Imm2 (No. 44)
Inequivalent atoms, fractional coordinates:
La 0.0000 0.0000 0.0000 x2
Al 0.0000 0.1868 0.3420 x4
Al 0.0000 0.1919 0.6533 x4
Al 0.0000 0.5000 0.9994 x2
Ir 0.0000 0.5000 0.7607 x2
Pt 0.0000 0.5000 0.2405 x2

Structure and simulated powder XRD pattern of Li2MgAl2ZnIr2 (DFT lattice parameters and positions (PBE); Cu Kα (weighted mean of Kα1 and Kα2)).
No peak broadening, texture or thermal motion is included.

The 12 most intense peaks (2θ = 10–80°), most intense first:
hkl 1 0 1, 2θ = 25.31°, rel. 100
hkl 2 0 0, 2θ = 41.93°, rel. 85
hkl 2 1 1, 2θ = 49.61°, rel. 49
hkl 3 1 2, 2θ = 76.59°, rel. 28
hkl 1 1 0, 2θ = 29.31°, rel. 21
hkl 3 0 1, 2θ = 66.92°, rel. 20
hkl 2 2 0, 2θ = 60.79°, rel. 14
hkl 3 1 0, 2θ = 68.90°, rel. 8
hkl 2 0 2, 2θ = 51.98°, rel. 6
hkl 0 0 1, 2θ = 14.53°, rel. 3
hkl 1 0 0, 2θ = 20.61°, rel. 1
hkl 1 0 2, 2θ = 36.09°, rel. 1

Crystal structure
a = 4.3088 Å, b = 4.3088 Å, c = 6.0967 Å
α = 90.00°, β = 90.00°, γ = 90.00°
Space group P-4m2 (No. 115)
Inequivalent atoms, fractional coordinates:
Li 0.0000 0.5000 0.2401 x2
Mg 0.5000 0.5000 0.5000 x1
Al 0.0000 0.0000 0.5000 x1
Al 0.5000 0.5000 0.0000 x1
Zn 0.0000 0.0000 0.0000 x1
Ir 0.0000 0.5000 0.7575 x2

Structure and simulated powder XRD pattern of LiMg2ZrAl2Ir2 (DFT lattice parameters and positions (PBE); Cu Kα (weighted mean of Kα1 and Kα2)).
No peak broadening, texture or thermal motion is included.

The 12 most intense peaks (2θ = 10–80°), most intense first:
hkl 1 1 2, 2θ = 39.74°, rel. 100
hkl 1 0 1, 2θ = 24.46°, rel. 81
hkl 1 1 0, 2θ = 29.31°, rel. 46
hkl 2 0 0, 2θ = 41.93°, rel. 43
hkl 0 0 2, 2θ = 26.23°, rel. 31
hkl 3 1 2, 2θ = 75.11°, rel. 31
hkl 2 1 1, 2θ = 49.14°, rel. 26
hkl 2 0 2, 2θ = 50.14°, rel. 22
hkl 2 0 4, 2θ = 70.61°, rel. 17
hkl 1 0 3, 2θ = 45.23°, rel. 16
hkl 2 2 0, 2θ = 60.80°, rel. 14
hkl 2 1 3, 2θ = 63.37°, rel. 12

Crystal structure
a = 4.3092 Å, b = 4.3092 Å, c = 6.7947 Å
α = 90.00°, β = 90.00°, γ = 90.00°
Space group P-4m2 (No. 115)
Inequivalent atoms, fractional coordinates:
Li 0.0000 0.0000 0.0000 x1
Mg 0.0000 0.5000 0.7771 x2
Zr 0.5000 0.5000 0.5000 x1
Al 0.0000 0.5000 0.2250 x2
Ir 0.0000 0.0000 0.5000 x1
Ir 0.5000 0.5000 0.0000 x1

Structure and simulated powder XRD pattern of Li2Nb2Al2IrPd (DFT lattice parameters and positions (PBE); Cu Kα (weighted mean of Kα1 and Kα2)).
No peak broadening, texture or thermal motion is included.

The 12 most intense peaks (2θ = 10–80°), most intense first:
hkl 2 0 0, 2θ = 41.21°, rel. 100
hkl 1 0 1, 2θ = 24.89°, rel. 84
hkl 2 1 1, 2θ = 48.74°, rel. 41
hkl 3 1 2, 2θ = 75.07°, rel. 22
hkl 3 0 1, 2θ = 65.68°, rel. 17
hkl 2 2 0, 2θ = 59.64°, rel. 11
hkl 2 0 4, 2θ = 75.18°, rel. 11
hkl 0 0 4, 2θ = 59.80°, rel. 5
hkl 0 0 1, 2θ = 14.32°, rel. 5
hkl 1 0 0, 2θ = 20.25°, rel. 4
hkl 1 0 2, 2θ = 35.52°, rel. 2
hkl 1 1 1, 2θ = 32.30°, rel. 2

Crystal structure
a = 4.3850 Å, b = 4.3850 Å, c = 6.1859 Å
α = 90.00°, β = 90.00°, γ = 90.00°
Space group P-4m2 (No. 115)
Inequivalent atoms, fractional coordinates:
Li 0.0000 0.0000 0.0000 x1
Li 0.5000 0.5000 0.5000 x1
Nb 0.0000 0.5000 0.2428 x2
Al 0.0000 0.5000 0.7478 x2
Ir 0.5000 0.5000 0.0000 x1
Pd 0.0000 0.0000 0.5000 x1

Structure and simulated powder XRD pattern of Li2TaNbAl2Ir2 (DFT lattice parameters and positions (PBE); Cu Kα (weighted mean of Kα1 and Kα2)).
No peak broadening, texture or thermal motion is included.

The 12 most intense peaks (2θ = 10–80°), most intense first:
hkl 2 0 0, 2θ = 41.50°, rel. 100
hkl 1 0 1, 2θ = 25.06°, rel. 89
hkl 2 1 1, 2θ = 49.09°, rel. 45
hkl 3 1 2, 2θ = 75.71°, rel. 34
hkl 3 0 1, 2θ = 66.18°, rel. 18
hkl 2 2 0, 2θ = 60.14°, rel. 17
hkl 0 0 1, 2θ = 14.39°, rel. 3
hkl 1 0 0, 2θ = 20.41°, rel. 3
hkl 1 1 1, 2θ = 32.53°, rel. 2
hkl 1 0 2, 2θ = 35.73°, rel. 1
hkl 2 0 1, 2θ = 44.14°, rel. 1
hkl 1 1 0, 2θ = 29.02°, rel. 1

Crystal structure
a = 4.3520 Å, b = 4.3520 Å, c = 6.1547 Å
α = 90.00°, β = 90.00°, γ = 90.00°
Space group P-4m2 (No. 115)
Inequivalent atoms, fractional coordinates:
Li 0.0000 0.5000 0.2497 x2
Ta 0.0000 0.0000 0.5000 x1
Nb 0.5000 0.5000 0.0000 x1
Al 0.0000 0.0000 0.0000 x1
Al 0.5000 0.5000 0.5000 x1
Ir 0.0000 0.5000 0.7486 x2

Structure and simulated powder XRD pattern of Li2Al2Zn2NiIr (DFT lattice parameters and positions (PBE); Cu Kα (weighted mean of Kα1 and Kα2)).
No peak broadening, texture or thermal motion is included.

The 12 most intense peaks (2θ = 10–80°), most intense first:
hkl 1 0 1, 2θ = 25.93°, rel. 100
hkl 1 1 2, 2θ = 43.03°, rel. 81
hkl 2 0 0, 2θ = 42.88°, rel. 41
hkl 2 1 1, 2θ = 50.80°, rel. 32
hkl 3 1 2, 2θ = 78.67°, rel. 26
hkl 1 0 0, 2θ = 21.06°, rel. 18
hkl 1 0 3, 2θ = 51.04°, rel. 16
hkl 0 0 1, 2θ = 14.95°, rel. 15
hkl 1 1 1, 2θ = 33.64°, rel. 14
hkl 2 2 0, 2θ = 62.26°, rel. 13
hkl 2 0 4, 2θ = 78.96°, rel. 13
hkl 2 1 3, 2θ = 68.81°, rel. 12

Crystal structure
a = 4.2177 Å, b = 4.2177 Å, c = 5.9276 Å
α = 90.00°, β = 90.00°, γ = 90.00°
Space group P-4m2 (No. 115)
Inequivalent atoms, fractional coordinates:
Li 0.0000 0.0000 0.0000 x1
Li 0.5000 0.5000 0.5000 x1
Al 0.0000 0.5000 0.2489 x2
Zn 0.0000 0.5000 0.7647 x2
Ni 0.5000 0.5000 0.0000 x1
Ir 0.0000 0.0000 0.5000 x1

Structure and simulated powder XRD pattern of Li2Ta2Al2IrPt (DFT lattice parameters and positions (PBE); Cu Kα (weighted mean of Kα1 and Kα2)).
No peak broadening, texture or thermal motion is included.

The 7 most intense peaks (2θ = 10–80°), most intense first:
hkl 2 0 0, 2θ = 41.29°, rel. 100
hkl 1 0 1, 2θ = 24.94°, rel. 88
hkl 2 1 1, 2θ = 48.85°, rel. 44
hkl 3 1 2, 2θ = 75.28°, rel. 35
hkl 3 0 1, 2θ = 65.83°, rel. 18
hkl 2 2 0, 2θ = 59.77°, rel. 11
hkl 0 0 4, 2θ = 59.92°, rel. 6

Crystal structure
a = 4.3760 Å, b = 4.3760 Å, c = 6.1747 Å
α = 90.00°, β = 90.00°, γ = 90.00°
Space group P-4m2 (No. 115)
Inequivalent atoms, fractional coordinates:
Li 0.0000 0.0000 0.0000 x1
Li 0.5000 0.5000 0.5000 x1
Ta 0.0000 0.5000 0.7452 x2
Al 0.0000 0.5000 0.2515 x2
Ir 0.0000 0.0000 0.5000 x1
Pt 0.5000 0.5000 0.0000 x1